No. 1
Ta2Co: simulated powder diffractogram (Cu Kα, 1.54184 Å), based on a DFT-relaxed cell (PBE, the Materials Project).
No peak broadening, texture or thermal motion is included.

Principal peaks in the range 2θ from 10° to 80°, sorted by position:
Position (°2θ)	I_rel	(hkl)
36.05	16	0 0 2
37.44	100	2 1 1
41.82	13	1 1 2
46.87	22	3 1 0
47.01	17	2 0 2
65.52	15	4 1 1
65.74	20	2 1 3
76.17	15	3 3 2

Cell and atoms:
a = 6.130 Å, b = 6.130 Å, c = 4.982 Å
α = 90.00°, β = 90.00°, γ = 90.00°
Space group I4/mcm (No. 140)
Symmetry-distinct sites (fractional):
1 Ta 0.161 0.339 0.000 [8 per cell]
2 Co 0.000 0.000 0.250 [4 per cell]

=====

No. 2
CeSi2Ru3: simulated powder diffractogram (Cu Kα, 1.54184 Å), based on a DFT-relaxed cell (PBE, the Materials Project).
No peak broadening, texture or thermal motion is included.

Principal peaks in the range 2θ from 10° to 80°, sorted by position:
Position (°2θ)	I_rel	(hkl)
30.87	83	1 0 1
36.87	100	2 0 0
40.68	77	1 1 1
44.90	25	2 0 1
56.06	31	2 1 1
62.72	21	3 0 1
64.32	38	2 0 2
66.42	25	2 2 0

Cell and atoms:
a = 5.6298 Å, b = 5.6298 Å, c = 3.6008 Å
α = 90.00°, β = 90.00°, γ = 120.00°
Space group P6/mmm (No. 191)
Symmetry-distinct sites (fractional):
1 Ce 0.0000 0.0000 0.0000 [1 per cell]
2 Si 0.3333 0.6667 0.0000 [2 per cell]
3 Ru 0.0000 0.5000 0.5000 [3 per cell]

=====

No. 3
ZnGaCu3Se4: simulated powder diffractogram (Cu Kα, 1.54184 Å), based on a DFT-relaxed cell (PBE, the Materials Project).
No peak broadening, texture or thermal motion is included.

Principal peaks in the range 2θ from 10° to 80°, sorted by position:
Position (°2θ)	I_rel	(hkl)
15.38	8	1 0 0
21.81	8	1 1 0
26.80	86	1 1 1
34.81	5	2 1 0
44.47	100	2 2 0
52.68	38	3 1 1
64.71	16	4 0 0
71.34	15	3 3 1

Cell and atoms:
a = 5.762 Å, b = 5.762 Å, c = 5.762 Å
α = 90.00°, β = 90.00°, γ = 90.00°
Space group P-43m (No. 215)
Symmetry-distinct sites (fractional):
1 Zn 0.000 0.000 0.000 [1 per cell]
2 Ga 0.500 0.500 0.500 [1 per cell]
3 Cu 0.000 0.500 0.500 [3 per cell]
4 Se 0.249 0.249 0.751 [4 per cell]